# FeHO2
Calculated PXRD pattern, Cu Ka. Input: DFT lattice parameters and positions (PBE+U).
Lines closer than 0.1° are merged.

Largest 6 diffraction maxima, by angle, 10 to 80 degrees two-theta:
| 2θ/deg | d_spacing | Rel. int. |
| --- | --- | --- |
| 11.74 | 7.536 | 100.0 |
| 16.64 | 5.329 | 42.3 |
| 26.45 | 3.370 | 44.7 |
| 33.64 | 2.665 | 26.8 |
| 34.67 | 2.588 | 54.4 |
| 55.16 | 1.665 | 40.4 |

a b c (Å): 7.692 7.692 7.692
angles (deg): 92.30 92.30 156.89
Positions (direct):
Fe (0.148, 0.648, 0.796)
Fe (0.352, 0.148, 0.501)
Fe (0.648, 0.852, 0.499)
Fe (0.852, 0.352, 0.204)
H (0.340, 0.415, 0.756)
H (0.415, 0.660, 0.075)
H (0.585, 0.340, 0.925)
H (0.660, 0.585, 0.244)
O (0.035, 0.329, 0.365)
O (0.288, 0.341, 0.629)
O (0.329, 0.965, 0.294)
O (0.341, 0.712, 0.052)
O (0.659, 0.288, 0.948)
O (0.671, 0.035, 0.706)
O (0.712, 0.659, 0.371)
O (0.965, 0.671, 0.635)